No. 1
Zr3NbGa2C2: calculated XRD peak list (λ = 1.5418 Å (Cu Kα)), based on a crystal structure in OQMD, relaxed with GGA-PBE.
Peak positions follow from Bragg's law for the DFT cell and can differ from measured ones.

The 12 most intense peaks (10 to 90 degrees two-theta), sorted by position:
2θ/deg	d/Å	I_rel
12.56	7.046	2
31.44	2.845	22
36.94	2.434	100
38.32	2.349	18
50.38	1.811	15
55.97	1.643	23
65.62	1.423	3
68.39	1.372	14
68.97	1.362	15
69.88	1.346	18
78.63	1.217	4
82.07	1.174	2

Cell and atoms:
```
Zr3NbGa2C2
1.0
3.2855 0.0000 0.0000
-1.6427 2.8453 0.0000
0.0000 0.0000 14.0917
Zr Nb Ga C
3 1 2 2
direct
0.0000 0.0000 0.0000
0.0000 0.0000 0.3254
0.6667 0.3333 0.5076
0.6667 0.3333 0.8245
0.0000 0.0000 0.6699
0.6667 0.3333 0.1625
0.3333 0.6667 0.4160
0.3333 0.6667 0.9079
```

***

No. 2
GaW2C: calculated XRD peak list (λ = 1.5418 Å (Cu Kα)), based on a crystal structure in OQMD, relaxed with GGA-PBE.
Peak positions follow from Bragg's law for the DFT cell and can differ from measured ones.

The 12 most intense peaks (10 to 90 degrees two-theta), sorted by position:
2θ/deg	d/Å	I_rel
13.42	6.599	15
27.02	3.299	6
33.63	2.665	24
34.33	2.612	11
39.54	2.279	100
41.03	2.200	19
54.06	1.696	14
60.14	1.539	26
73.75	1.285	15
74.40	1.275	16
75.40	1.261	19
85.14	1.140	4

Cell and atoms:
```
GaW2C
1.0
2.6647 1.5384 13.1977
-2.6647 1.5384 13.1977
0.0000 -3.0769 13.1977
Ga W C
6 12 6
direct
0.0833 0.4167 0.7500
0.2500 0.9167 0.5833
0.4167 0.7500 0.0833
0.5833 0.2500 0.9167
0.7500 0.0833 0.4167
0.9167 0.5833 0.2500
0.0301 0.6959 0.3631
0.1369 0.8041 0.4699
0.1959 0.5301 0.8631
0.3041 0.6369 0.9699
0.3631 0.0301 0.6959
0.4699 0.1369 0.8041
0.5301 0.8631 0.1959
0.6369 0.9699 0.3041
0.6959 0.3631 0.0301
0.8041 0.4699 0.1369
0.8631 0.1959 0.5301
0.9699 0.3041 0.6369
0.0000 0.0000 0.0000
0.1667 0.1667 0.1667
0.3333 0.3333 0.3333
0.5000 0.5000 0.5000
0.6667 0.6667 0.6667
0.8333 0.8333 0.8333
```

***

No. 3
Zr4Ga3W2C3: calculated XRD peak list (λ = 1.5418 Å (Cu Kα)), based on a crystal structure in OQMD, relaxed with GGA-PBE.
Peak positions follow from Bragg's law for the DFT cell and can differ from measured ones.

The 12 most intense peaks (10 to 90 degrees two-theta), sorted by position:
2θ/deg	d/Å	I_rel
12.95	6.836	11
18.41	4.818	13
31.98	2.799	35
37.68	2.388	100
37.79	2.380	48
39.55	2.279	26
51.68	1.769	14
56.92	1.618	19
57.11	1.613	10
70.41	1.337	13
70.50	1.336	13
71.58	1.318	11

Cell and atoms:
```
Zr4Ga3W2C3
1.0
4.8386 -2.8046 0.0000
4.8386 2.8046 0.0000
-3.2705 0.0000 13.6726
Zr Ga W C
8 6 4 6
direct
0.0384 0.1937 0.0974
0.1280 0.3009 0.4026
0.1937 0.0384 0.5974
0.3009 0.1280 0.9026
0.6991 0.8720 0.0974
0.8063 0.9616 0.4026
0.8720 0.6991 0.5974
0.9616 0.8063 0.9026
0.1397 0.8603 0.2500
0.2998 0.4180 0.7518
0.4180 0.2998 0.2518
0.5820 0.7002 0.7482
0.7002 0.5820 0.2482
0.8603 0.1397 0.7500
0.3520 0.5256 0.0793
0.4744 0.6480 0.4207
0.5256 0.3520 0.5793
0.6480 0.4744 0.9207
0.0000 0.5000 0.0000
0.1767 0.6618 0.4999
0.3382 0.8233 0.0001
0.5000 0.0000 0.5000
0.6618 0.1767 0.9999
0.8233 0.3382 0.5001
```

***

No. 4
ZrGa2C: calculated XRD peak list (λ = 1.5418 Å (Cu Kα)), based on a crystal structure in OQMD, relaxed with GGA-PBE.
Peak positions follow from Bragg's law for the DFT cell and can differ from measured ones.

The 12 most intense peaks (10 to 90 degrees two-theta), sorted by position:
2θ/deg	d/Å	I_rel
25.42	3.504	2
32.29	2.772	21
37.73	2.384	100
38.54	2.336	19
51.13	1.786	15
57.58	1.601	20
67.58	1.386	2
69.19	1.358	15
70.92	1.329	15
71.44	1.320	18
80.58	1.192	4
82.61	1.168	2

Cell and atoms:
```
ZrGa2C
1.0
3.2013 0.0000 0.0000
-1.6007 2.7724 0.0000
0.0000 0.0000 14.0156
Zr Ga C
2 4 2
direct
0.3333 0.6667 0.2500
0.6667 0.3333 0.7500
0.3333 0.6667 0.5789
0.3333 0.6667 0.9211
0.6667 0.3333 0.0789
0.6667 0.3333 0.4211
0.0000 0.0000 0.0000
0.0000 0.0000 0.5000
```